This entry pairs a crystal structure of KPrMnS3 with its simulated XRD peak list. Radiation: Cu Kα, 1.54184 Å. Structure: a PBE-relaxed structure.

Peak list (10 most intense, 10° ≤ 2θ ≤ 90°, in order of rising 2θ)
12.2°, I = 100
24.5°, I = 14
26.4°, I = 12
28.7°, I = 13
28.9°, I = 20
29.6°, I = 73
35.5°, I = 16
37.1°, I = 13
43.1°, I = 14
45.1°, I = 18

Crystal structure
a = 8.9203 Å, b = 4.1966 Å, c = 9.5566 Å
α = 90.00°, β = 104.17°, γ = 90.00°
Space group P2_1/m (No. 11)
Asymmetric unit:
K 0.1893 0.2500 0.2163 [2 per cell]
Pr 0.3381 0.7500 0.8503 [2 per cell]
Mn 0.0866 0.2500 0.6056 [2 per cell]
S 0.1150 0.2500 0.8541 [2 per cell]
S 0.1881 0.7500 0.5286 [2 per cell]
S 0.4473 0.7500 0.1536 [2 per cell]


This entry pairs a crystal structure of K2LiWS4 with its simulated XRD peak list. Radiation: Cu Kα, 1.54184 Å. Structure: a PBE-relaxed structure.

Peak list (10 most intense, 10° ≤ 2θ ≤ 90°, in order of rising 2θ)
15.1°, I = 65
15.4°, I = 86
17.2°, I = 78
20.3°, I = 63
25.3°, I = 33
26.4°, I = 50
27.9°, I = 100
37.1°, I = 26
38.8°, I = 31
42.3°, I = 26

Crystal structure
a = 5.7725 Å, b = 13.2254 Å, c = 23.5062 Å
α = 90.00°, β = 90.00°, γ = 90.00°
Space group Fddd (No. 70, origin choice 2)
Asymmetric unit:
K 0.1250 0.1250 0.3044 [16 per cell]
Li 0.1250 0.1250 0.1250 [8 per cell]
W 0.1250 0.1250 0.6250 [8 per cell]
S 0.1042 0.2753 0.8214 [32 per cell]


This entry pairs a crystal structure of La5Tb5Nd2 with its simulated XRD peak list. Radiation: Cu Kα, 1.54184 Å. Structure: a PBE-relaxed structure.

Peak list (10 most intense, 10° ≤ 2θ ≤ 90°, in order of rising 2θ)
29.9°, I = 100
34.5°, I = 17
34.8°, I = 34
49.8°, I = 24
50.0°, I = 12
59.0°, I = 15
59.3°, I = 22
59.4°, I = 7
62.2°, I = 12
80.9°, I = 9

Crystal structure
a = 15.5965 Å, b = 5.1664 Å, c = 11.5541 Å
α = 90.00°, β = 116.80°, γ = 90.00°
Space group C2/m (No. 12)
Asymmetric unit:
La 0.0000 0.0000 0.0000 [2 per cell]
La 0.0822 0.0000 0.7510 [4 per cell]
La 0.2489 0.0000 0.2490 [4 per cell]
Tb 0.0000 0.5000 0.5000 [2 per cell]
Tb 0.0837 0.5000 0.2512 [4 per cell]
Tb 0.1669 0.5000 0.0003 [4 per cell]
Nd 0.1659 0.0000 0.4995 [4 per cell]


This entry pairs a crystal structure of NiRu4Rh with its simulated XRD peak list. Radiation: Cu Kα, 1.54184 Å. Structure: a PBE-relaxed structure.

Peak list (10 most intense, 10° ≤ 2θ ≤ 90°, in order of rising 2θ)
21.7°, I = 15
35.7°, I = 22
42.2°, I = 100
44.1°, I = 47
51.4°, I = 8
56.4°, I = 3
64.2°, I = 7
68.6°, I = 30
75.7°, I = 27
86.6°, I = 3

Crystal structure
a = 7.1082 Å, b = 7.1082 Å, c = 7.1082 Å
α = 90.00°, β = 90.00°, γ = 90.00°
Space group F-43m (No. 216)
Asymmetric unit:
Ni 0.0000 0.0000 0.0000 [4 per cell]
Ru 0.1252 0.1252 0.6252 [16 per cell]
Rh 0.2500 0.2500 0.2500 [4 per cell]